Diffraction record for Ca2Ac8Pr3. The PXRD pattern is theoretical, not measured: it uses a DFT-relaxed cell (PBE, Alexandria) and Cu Ka.
Neutral-atom scattering factors, no anomalous dispersion.

Main lines, sorted by position (5 to 70 degrees two-theta):
| hkl | 2theta | I_rel |
| --- | --- | --- |
| 2 2 -1 | 22.80 | 50 |
| 2 2 1 | 26.35 | 38 |
| 4 0 -2 | 28.24 | 60 |
| 1 1 2 | 28.89 | 65 |
| 5 1 0 | 29.62 | 100 |
| 3 3 -1 | 32.42 | 27 |
| 3 3 1 | 36.36 | 21 |
| 6 2 -1 | 37.25 | 18 |
| 6 0 2 | 48.94 | 27 |
| 1 5 2 | 54.19 | 22 |

Atomic structure:
a b c (Å): 16.628 9.912 7.437
angles (deg): 90.00 107.71 90.00
Space group C2/m (No. 12)
Asymmetric unit:
Ca (0.200, 0.000, 0.421) (multiplicity 4)
Ac (0.095, 0.500, 0.708) (multiplicity 4)
Ac (0.114, 0.318, 0.189) (multiplicity 8)
Ac (0.188, 0.000, 0.893) (multiplicity 4)
Pr (0.000, 0.000, 0.000) (multiplicity 2)
Pr (0.000, 0.163, 0.500) (multiplicity 4)